# 1
Calculated X-ray diffraction stick pattern
Compound: BaBi5
Radiation: Cu Kα (λ = 1.5418 Å)
Structure: a DFT-relaxed cell (PBE, the Materials Project)

Structure:
```
6
Lattice="5.1126 0.0000 0.0000 0.0000 4.9071 0.0000 -1.7189 0.0000 8.4465" Properties=species:S:1:pos:R:3 pbc="T T T"
Ba 0.0000 0.0000 0.0000
Bi -0.3685 2.4536 2.7613
Bi 0.8658 0.0000 5.7299
Bi 2.5563 2.4536 0.0000
Bi 2.5278 0.0000 2.7166
Bi 3.7621 2.4536 5.6852
```

Peak list (12 most intense, 2θ from 10° to 90°, sorted by position)
25.4°, rel. 22
26.1°, rel. 17
28.9°, rel. 100
30.8°, rel. 98
31.8°, rel. 54
35.5°, rel. 15
35.8°, rel. 20
36.6°, rel. 38
49.3°, rel. 33
53.7°, rel. 20
57.1°, rel. 20
58.3°, rel. 16

# 2
Calculated X-ray diffraction stick pattern
Compound: Ba2Bi
Radiation: Cu Kα (λ = 1.5418 Å)
Structure: a DFT-relaxed cell (PBE, the Materials Project)

Structure:
```
6
Lattice="-2.6911 2.6911 9.6693 2.6911 -2.6911 9.6693 2.6911 2.6911 -9.6693" Properties=species:S:1:pos:R:3 pbc="T T T"
Ba 2.6911 0.0000 0.0000
Ba 0.0000 0.0000 3.4749
Ba 0.0000 2.6911 0.0000
Ba 0.0000 0.0000 15.8637
Bi 0.0000 0.0000 7.0760
Bi 0.0000 0.0000 12.2626
```

Peak list (12 most intense, 2θ from 10° to 90°, sorted by position)
23.4°, rel. 30
25.1°, rel. 69
27.7°, rel. 24
28.4°, rel. 37
29.9°, rel. 100
33.3°, rel. 65
36.6°, rel. 19
43.8°, rel. 27
44.3°, rel. 23
47.8°, rel. 24
57.4°, rel. 38
65.8°, rel. 19

# 3
Calculated X-ray diffraction stick pattern
Compound: Ba4Bi3
Radiation: Cu Kα (λ = 1.5418 Å)
Structure: a DFT-relaxed cell (PBE, the Materials Project)

Structure:
```
14
Lattice="-5.3725 5.3725 5.3725 5.3725 -5.3725 5.3725 5.3725 5.3725 -5.3725" Properties=species:S:1:pos:R:3 pbc="T T T"
Ba 3.4588 1.9138 -1.9138
Ba 6.1450 -0.7725 0.7725
Ba 1.9138 -1.9138 3.4588
Ba 1.9138 1.9138 1.9138
Ba -1.9138 3.4588 1.9138
Ba 0.7725 6.1450 -0.7725
Ba -0.7725 0.7725 6.1450
Ba 4.6000 4.6000 4.6000
Bi 5.3725 -2.6863 4.0294
Bi 4.0294 5.3725 -2.6863
Bi 5.3725 2.6863 1.3431
Bi 2.6863 1.3431 5.3725
Bi 1.3431 5.3725 2.6863
Bi -2.6863 4.0294 5.3725
```

Peak list (12 most intense, 2θ from 10° to 90°, sorted by position)
20.2°, rel. 17
26.2°, rel. 100
31.1°, rel. 66
37.4°, rel. 23
39.3°, rel. 16
41.2°, rel. 13
42.9°, rel. 21
52.5°, rel. 34
54.0°, rel. 12
55.4°, rel. 16
63.6°, rel. 23
83.4°, rel. 16

# 4
Calculated X-ray diffraction stick pattern
Compound: Ba5Bi3
Radiation: Cu Kα (λ = 1.5418 Å)
Structure: a DFT-relaxed cell (PBE, the Materials Project)

Structure:
```
16
Lattice="10.3084 0.0000 0.0000 -5.1542 8.9273 0.0000 0.0000 0.0000 8.0122" Properties=species:S:1:pos:R:3 pbc="T T T"
Ba -1.3113 2.2712 2.0030
Ba -3.8429 6.6561 6.0091
Ba 2.6226 0.0000 2.0030
Ba 1.3113 2.2712 6.0091
Ba 0.0000 5.9516 0.0000
Ba 0.0000 5.9516 4.0061
Ba 5.1542 2.9758 0.0000
Ba 5.1542 2.9758 4.0061
Ba 7.6858 0.0000 6.0091
Ba 3.8429 6.6561 2.0030
Bi -2.0185 3.4961 6.0091
Bi -3.1357 5.4313 2.0030
Bi 4.0369 0.0000 6.0091
Bi 2.0185 3.4961 2.0030
Bi 6.2715 0.0000 2.0030
Bi 3.1357 5.4313 6.0091
```

Peak list (12 most intense, 2θ from 10° to 90°, sorted by position)
20.5°, rel. 15
22.2°, rel. 33
26.4°, rel. 19
28.2°, rel. 93
28.7°, rel. 100
30.0°, rel. 71
38.0°, rel. 35
41.7°, rel. 17
43.2°, rel. 33
45.3°, rel. 15
55.3°, rel. 20
56.4°, rel. 20

# 5
Calculated X-ray diffraction stick pattern
Compound: BaBiBrO2
Radiation: Cu Kα (λ = 1.5418 Å)
Structure: a DFT-relaxed cell (PBE, the Materials Project)

Structure:
```
5
Lattice="-2.0589 2.0589 7.0065 2.0589 -2.0589 7.0065 2.0589 2.0589 -7.0065" Properties=species:S:1:pos:R:3 pbc="T T T"
Ba 0.0000 0.0000 0.0000
Bi 0.0000 0.0000 4.4400
Br 0.0000 0.0000 8.9101
O 2.0589 0.0000 5.3936
O 0.0000 2.0589 5.3936
```

Peak list (12 most intense, 2θ from 10° to 90°, sorted by position)
12.6°, rel. 11
22.5°, rel. 17
28.9°, rel. 100
30.7°, rel. 38
40.3°, rel. 10
44.0°, rel. 19
50.1°, rel. 22
53.5°, rel. 36
59.9°, rel. 10
63.9°, rel. 14
85.3°, rel. 11
88.0°, rel. 9

# 6
Calculated X-ray diffraction stick pattern
Compound: BaCaCuBiO6
Radiation: Cu Kα (λ = 1.5418 Å)
Structure: a DFT-relaxed cell (PBE, the Materials Project)

Structure:
```
10
Lattice="0.0000 4.1252 4.1252 4.1252 0.0000 4.1252 4.1252 4.1252 0.0000" Properties=species:S:1:pos:R:3 pbc="T T T"
Ba 0.0000 0.0000 0.0000
Ca 4.1252 4.1252 4.1252
Cu 2.0626 2.0626 2.0626
Bi 6.1878 6.1878 6.1878
O 2.0626 2.0626 0.0867
O 2.0626 0.0867 2.0626
O 4.0385 2.0626 2.0626
O 0.0867 2.0626 2.0626
O 2.0626 4.0385 2.0626
O 2.0626 2.0626 4.0385
```

Peak list (12 most intense, 2θ from 10° to 90°, sorted by position)
18.6°, rel. 30
21.5°, rel. 13
30.6°, rel. 100
36.1°, rel. 21
43.9°, rel. 32
48.1°, rel. 10
54.5°, rel. 40
58.1°, rel. 7
63.8°, rel. 19
67.1°, rel. 7
72.5°, rel. 18
88.7°, rel. 22

# 7
Calculated X-ray diffraction stick pattern
Compound: BaCaEuBiO6
Radiation: Cu Kα (λ = 1.5418 Å)
Structure: a DFT-relaxed cell (PBE, the Materials Project)

Structure:
```
40
Lattice="8.5944 0.0000 0.0000 0.0000 8.5991 0.0000 0.0000 0.0000 8.6196" Properties=species:S:1:pos:R:3 pbc="T T T"
Ba 0.0000 0.0000 0.0000
Ba 0.0000 0.0000 4.3098
Ba 0.0000 4.2996 0.0000
Ba 4.2972 4.2996 4.3098
Ca 0.0000 4.2996 4.3098
Ca 4.2972 0.0000 0.0000
Ca 4.2972 0.0000 4.3098
Ca 4.2972 4.2996 0.0000
Eu 2.1952 2.1598 6.4578
Eu 2.1952 6.4394 2.1617
Eu 6.3993 2.1598 2.1617
Eu 6.3993 6.4394 6.4578
Bi 2.2034 2.1443 2.1629
Bi 2.2034 6.4549 6.4567
Bi 6.3910 2.1443 6.4567
Bi 6.3910 6.4549 2.1629
O 0.0887 2.3688 1.8430
O 0.0887 6.2304 6.7766
O 1.7656 2.6505 4.2172
O 1.7656 5.9486 4.4024
O 1.8894 0.0612 2.4343
O 1.8894 8.5380 6.1853
O 2.5947 1.7269 0.0827
O 2.5947 6.8722 8.5369
O 2.6330 4.2033 1.7149
O 2.6330 4.3958 6.9047
O 4.2248 1.7602 2.6994
O 4.2248 6.8390 5.9201
O 4.3696 1.7602 5.9201
O 4.3696 6.8390 2.6994
O 5.9614 4.2033 6.9047
O 5.9614 4.3958 1.7149
O 5.9998 1.7269 8.5369
O 5.9998 6.8722 0.0827
O 6.7051 0.0612 6.1853
O 6.7051 8.5380 2.4343
O 6.8289 2.6505 4.4024
O 6.8289 5.9486 4.2172
O 8.5057 2.3688 6.7766
O 8.5057 6.2304 1.8430
```

Peak list (12 most intense, 2θ from 10° to 90°, sorted by position)
20.6°, rel. 20
29.4°, rel. 100
41.9°, rel. 9
42.0°, rel. 17
47.2°, rel. 7
52.1°, rel. 46
60.9°, rel. 16
68.9°, rel. 6
69.1°, rel. 12
76.7°, rel. 5
84.1°, rel. 11
84.3°, rel. 11

# 8
Calculated X-ray diffraction stick pattern
Compound: BaCaEuBiO6
Radiation: Cu Kα (λ = 1.5418 Å)
Structure: a DFT-relaxed cell (PBE, the Materials Project)

Structure:
```
10
Lattice="0.0000 4.3189 4.3189 4.3189 0.0000 4.3189 4.3189 4.3189 0.0000" Properties=species:S:1:pos:R:3 pbc="T T T"
Ba 0.0000 0.0000 0.0000
Ca 6.4784 6.4784 6.4784
Eu 4.3189 4.3189 4.3189
Bi 2.1595 2.1595 2.1595
O 2.1595 2.1595 0.0692
O 2.1595 0.0692 2.1595
O 4.2497 2.1595 2.1595
O 0.0692 2.1595 2.1595
O 2.1595 4.2497 2.1595
O 2.1595 2.1595 4.2497
```

Peak list (12 most intense, 2θ from 10° to 90°, sorted by position)
17.8°, rel. 24
29.2°, rel. 100
34.4°, rel. 14
41.8°, rel. 30
45.8°, rel. 6
51.9°, rel. 42
55.3°, rel. 6
60.6°, rel. 19
63.7°, rel. 6
68.7°, rel. 18
76.4°, rel. 6
83.8°, rel. 22

# 9
Calculated X-ray diffraction stick pattern
Compound: BaCaEuBiO6
Radiation: Cu Kα (λ = 1.5418 Å)
Structure: a DFT-relaxed cell (PBE, the Materials Project)

Structure:
```
40
Lattice="8.5503 0.0000 0.0000 0.0000 8.5666 0.0000 0.0000 0.0000 8.5886" Properties=species:S:1:pos:R:3 pbc="T T T"
Ba 2.1376 2.1417 2.1472
Ba 2.1376 6.4250 6.4415
Ba 6.4127 2.1417 2.1472
Ba 6.4127 6.4250 6.4415
Ca 0.0000 0.0000 0.0000
Ca 0.0000 4.2833 4.2943
Ca 4.2752 0.0000 4.2943
Ca 4.2752 4.2833 0.0000
Eu 2.1376 2.1417 6.4415
Eu 2.1376 6.4250 2.1472
Eu 6.4127 2.1417 6.4415
Eu 6.4127 6.4250 2.1472
Bi 0.0000 0.0000 4.2943
Bi 0.0000 4.2833 0.0000
Bi 4.2752 0.0000 0.0000
Bi 4.2752 4.2833 4.2943
O 0.2933 2.0680 4.0126
O 0.2933 2.2153 0.2817
O 0.5422 0.3631 6.3505
O 0.5422 3.9202 6.5324
O 2.0458 4.7162 0.5084
O 2.0458 8.1338 3.7860
O 2.2293 4.7162 3.7860
O 2.2293 8.1338 0.5084
O 3.7330 0.3631 6.5324
O 3.7330 3.9202 6.3505
O 3.9819 2.0680 0.2817
O 3.9819 2.2153 4.0126
O 4.5684 6.3513 4.5760
O 4.5684 6.4987 8.3069
O 4.8173 4.6464 2.2381
O 4.8173 8.2036 2.0562
O 6.3210 0.4329 8.0803
O 6.3210 3.8504 4.8027
O 6.5045 0.4329 4.8027
O 6.5045 3.8504 8.0803
O 8.0081 4.6464 2.0562
O 8.0081 8.2036 2.2381
O 8.2571 6.3513 8.3069
O 8.2571 6.4987 4.5760
```

Peak list (12 most intense, 2θ from 10° to 90°, sorted by position)
17.9°, rel. 24
29.5°, rel. 100
34.7°, rel. 9
42.1°, rel. 9
42.2°, rel. 17
52.3°, rel. 31
52.4°, rel. 15
61.1°, rel. 10
69.2°, rel. 6
69.5°, rel. 6
84.6°, rel. 12
84.7°, rel. 12

# 10
Calculated X-ray diffraction stick pattern
Compound: BaCaEuBiO6
Radiation: Cu Kα (λ = 1.5418 Å)
Structure: a DFT-relaxed cell (PBE, the Materials Project)

Structure:
```
10
Lattice="0.0000 4.3555 4.3555 4.3555 0.0000 4.3555 4.3555 4.3555 0.0000" Properties=species:S:1:pos:R:3 pbc="T T T"
Ba 0.0000 0.0000 0.0000
Ca 4.3555 4.3555 4.3555
Eu 2.1778 2.1778 2.1778
Bi 6.5333 6.5333 6.5333
O 6.5333 6.5333 4.4212
O 6.5333 4.4212 6.5333
O 8.6454 6.5333 6.5333
O 4.4212 6.5333 6.5333
O 6.5333 8.6454 6.5333
O 6.5333 6.5333 8.6454
```

Peak list (12 most intense, 2θ from 10° to 90°, sorted by position)
17.6°, rel. 10
20.4°, rel. 22
29.0°, rel. 100
34.1°, rel. 6
41.5°, rel. 30
46.6°, rel. 11
51.4°, rel. 42
60.1°, rel. 19
64.1°, rel. 5
68.1°, rel. 18
75.6°, rel. 6
82.9°, rel. 22

# 11
Calculated X-ray diffraction stick pattern
Compound: BaCaEuBiO6
Radiation: Cu Kα (λ = 1.5418 Å)
Structure: a DFT-relaxed cell (PBE, the Materials Project)

Structure:
```
20
Lattice="6.0273 0.0000 0.0000 -0.0094 6.1353 0.0000 -0.0472 -0.0483 8.6217" Properties=species:S:1:pos:R:3 pbc="T T T"
Ba 0.0243 0.2298 2.1612
Ba 5.9463 5.8572 6.4606
Ca 2.9301 3.3458 2.1723
Ca 3.0405 2.7411 6.4495
Eu -0.0283 3.0435 4.3109
Eu 3.0137 0.0000 0.0000
Bi -0.0047 3.0676 0.0000
Bi 2.9901 -0.0242 4.3109
O 0.6795 3.0953 6.5671
O 1.1911 4.7911 0.3952
O 1.2774 4.8638 3.9729
O 1.7351 1.9028 0.5550
O 1.8727 1.7691 3.8073
O 2.5399 0.3540 6.3841
O 3.4308 5.7329 2.2377
O 4.0979 4.3179 4.8145
O 4.2356 4.1841 8.0668
O 4.6933 1.2231 4.6489
O 4.7796 1.2959 8.2265
O 5.2912 2.9917 2.0547
```

Peak list (12 most intense, 2θ from 10° to 90°, sorted by position)
20.6°, rel. 40
29.1°, rel. 31
29.3°, rel. 100
29.5°, rel. 31
29.6°, rel. 31
42.0°, rel. 33
42.1°, rel. 16
47.2°, rel. 10
51.7°, rel. 20
52.0°, rel. 14
52.3°, rel. 22
60.8°, rel. 9

# 12
Calculated X-ray diffraction stick pattern
Compound: BaCaGdBiO6
Radiation: Cu Kα (λ = 1.5418 Å)
Structure: a DFT-relaxed cell (PBE, the Materials Project)

Structure:
```
20
Lattice="6.0163 0.0000 0.0000 0.0111 6.1038 0.0000 0.0456 0.0133 8.5973" Properties=species:S:1:pos:R:3 pbc="T T T"
Ba 0.0491 0.2209 2.1459
Ba 6.0239 5.8962 6.4514
Ca 2.9641 3.3015 2.1303
Ca 3.1089 2.8156 6.4671
Gd 0.0056 3.0519 0.0000
Gd 3.0309 0.0066 4.2987
Bi 0.0284 3.0585 4.2987
Bi 3.0081 0.0000 0.0000
O 0.7267 3.0956 6.3647
O 1.2437 4.7785 3.9561
O 1.3043 4.8644 0.2801
O 1.7589 1.8785 3.7464
O 1.8845 1.7893 0.5152
O 2.6309 0.4141 6.5225
O 3.4422 5.7030 2.0748
O 4.1886 4.3278 8.0821
O 4.3141 4.2386 4.8509
O 4.7687 1.2527 8.3172
O 4.8293 1.3386 4.6412
O 5.3463 3.0215 2.2326
```

Peak list (12 most intense, 2θ from 10° to 90°, sorted by position)
20.7°, rel. 41
29.3°, rel. 64
29.5°, rel. 100
29.7°, rel. 31
42.0°, rel. 17
42.2°, rel. 32
52.0°, rel. 14
52.0°, rel. 27
52.4°, rel. 22
52.6°, rel. 16
61.2°, rel. 10
69.1°, rel. 8